Starting from a crystal structure in Alexandria, relaxed with PBE+U, the powder XRD pattern of Li4Co3O7 was calculated for copper Kα.

Structure:
Unit cell a=4.953 b=5.040 c=10.474 alpha=85.17 beta=77.81 gamma=72.20
Space group P-1 (No. 2)
Symmetry-distinct sites (fractional):
1 Li 0.000 0.000 0.000 (multiplicity 1)
2 Li 0.067 0.500 0.861 (multiplicity 2)
3 Li 0.219 0.500 0.568 (multiplicity 2)
4 Li 0.366 0.493 0.280 (multiplicity 2)
5 Li 0.500 0.500 0.000 (multiplicity 1)
6 Co 0.136 0.006 0.723 (multiplicity 2)
7 Co 0.292 0.002 0.425 (multiplicity 2)
8 Co 0.427 0.996 0.136 (multiplicity 2)
9 O 0.030 0.778 0.423 (multiplicity 2)
10 O 0.123 0.217 0.270 (multiplicity 2)
11 O 0.200 0.764 0.143 (multiplicity 2)
12 O 0.286 0.219 0.001 (multiplicity 2)
13 O 0.323 0.785 0.849 (multiplicity 2)
14 O 0.397 0.222 0.725 (multiplicity 2)
15 O 0.476 0.760 0.568 (multiplicity 2)

Main lines, in order of rising 2θ (10° ≤ 2θ ≤ 90°):
2theta	I (rel.)	h k l
18.49	100	0 1 0
35.62	15	1 0 -3
42.89	29	-1 1 3
44.38	26	1 -1 4
44.91	25	2 2 1
63.61	14	1 3 4